For MnMo4F12, a PBE+U-relaxed structure gives the computed PXRD pattern in this record (Cu Ka).
Peak positions follow from Bragg's law for the DFT cell and can differ from measured ones.

Peak list (10 most intense, 5° ≤ 2θ ≤ 70°, in order of falling intensity)
2θ/deg  Rel. int.
20.3  100
21.5  76
30.2  65
31.0  62
22.1  60
29.8  57
54.9  46
41.4  44
54.1  37
52.6  32

Unit cell a=8.0585 b=8.2618 c=8.7292 alpha=90.00 beta=90.00 gamma=90.00
Space group Immm (No. 71)
Inequivalent atoms, fractional coordinates:
Mn 0.0000 0.0000 0.0000 [2 per cell]
Mo 0.2500 0.2500 0.2500 [8 per cell]
F 0.0000 0.3132 0.2967 [8 per cell]
F 0.1722 0.0000 0.2511 [8 per cell]
F 0.1738 0.2007 0.0000 [8 per cell]